Starting from DFT lattice parameters and positions (PBE), the X-ray diffraction stick pattern of CeNpCo10 was calculated for λ = 1.5418 Å (Cu Kα).
No peak broadening, texture or thermal motion is included.

Principal peaks in the range 10° ≤ 2θ ≤ 90°, in order of rising 2θ:
d 2.898, intensity 65
d 2.423, intensity 23
d 2.102, intensity 24
d 2.074, intensity 100
d 2.002, intensity 27
d 1.544, intensity 17

Atomic structure:
a = 4.005 Å, b = 4.860 Å, c = 8.384 Å
α = 90.00°, β = 90.00°, γ = 90.00°
Fractional coordinates of all 12 atoms:
Ce 0.000 0.000 0.000
Np 0.000 0.500 0.500
Co 0.000 0.000 0.343
Co 0.000 0.000 0.657
Co 0.000 0.500 0.179
Co 0.000 0.500 0.821
Co 0.500 0.000 0.500
Co 0.500 0.252 0.254
Co 0.500 0.252 0.746
Co 0.500 0.500 0.000
Co 0.500 0.748 0.254
Co 0.500 0.748 0.746

=====

Starting from DFT lattice parameters and positions (PBE), the X-ray diffraction stick pattern of Dy2Y2Al4Cu was calculated for λ = 1.5418 Å (Cu Kα).
No peak broadening, texture or thermal motion is included.

Principal peaks in the range 10° ≤ 2θ ≤ 90°, in order of rising 2θ:
d 4.913, intensity 42
d 3.474, intensity 94
d 2.713, intensity 100
d 2.673, intensity 55
d 2.457, intensity 80
d 2.119, intensity 51

Atomic structure:
a = 6.558 Å, b = 6.558 Å, c = 6.558 Å
α = 116.02°, β = 116.02°, γ = 97.04°
Fractional coordinates of all 9 atoms:
Dy 0.195 0.195 0.000
Dy 0.805 0.805 0.000
Y 0.250 0.750 0.500
Y 0.750 0.250 0.500
Al 0.261 0.261 0.522
Al 0.261 0.739 0.000
Al 0.739 0.261 0.000
Al 0.739 0.739 0.478
Cu 0.500 0.500 0.000

=====

Starting from DFT lattice parameters and positions (PBE), the X-ray diffraction stick pattern of CaHgBF6 was calculated for λ = 1.5418 Å (Cu Kα).
No peak broadening, texture or thermal motion is included.

Principal peaks in the range 10° ≤ 2θ ≤ 90°, in order of rising 2θ:
d 4.683, intensity 39
d 3.530, intensity 100
d 2.330, intensity 23
d 2.147, intensity 23
d 1.905, intensity 25
d 1.681, intensity 23

Atomic structure:
a = 5.408 Å, b = 5.408 Å, c = 5.371 Å
α = 90.00°, β = 90.00°, γ = 120.00°
Fractional coordinates of all 9 atoms:
Ca 0.000 0.000 0.000
Hg 0.667 0.333 0.500
B 0.333 0.667 0.000
F 0.087 0.416 0.177
F 0.087 0.671 0.823
F 0.329 0.416 0.823
F 0.329 0.913 0.177
F 0.584 0.671 0.177
F 0.584 0.913 0.823

=====

Starting from DFT lattice parameters and positions (PBE), the X-ray diffraction stick pattern of Pr4TmIn3 was calculated for λ = 1.5418 Å (Cu Kα).
No peak broadening, texture or thermal motion is included.

Principal peaks in the range 10° ≤ 2θ ≤ 90°, in order of rising 2θ:
d 2.803, intensity 96
d 2.766, intensity 100
d 1.969, intensity 34
d 1.604, intensity 36
d 1.597, intensity 19
d 1.240, intensity 15

Atomic structure:
a = 9.754 Å, b = 9.754 Å, c = 9.754 Å
α = 32.95°, β = 32.95°, γ = 32.95°
Fractional coordinates of all 8 atoms:
Pr 0.119 0.119 0.119
Pr 0.370 0.370 0.370
Pr 0.630 0.630 0.630
Pr 0.881 0.881 0.881
Tm 0.500 0.500 0.500
In 0.000 0.000 0.000
In 0.242 0.242 0.242
In 0.758 0.758 0.758

=====

Starting from DFT lattice parameters and positions (PBE), the X-ray diffraction stick pattern of CuAuO3 was calculated for λ = 1.5418 Å (Cu Kα).
No peak broadening, texture or thermal motion is included.

Principal peaks in the range 10° ≤ 2θ ≤ 90°, in order of rising 2θ:
d 5.139, intensity 100
d 4.038, intensity 87
d 3.894, intensity 90
d 2.725, intensity 91
d 2.471, intensity 82
d 2.423, intensity 88

Atomic structure:
a = 4.456 Å, b = 5.624 Å, c = 6.133 Å
α = 99.75°, β = 108.93°, γ = 107.13°
Fractional coordinates of all 10 atoms:
Cu 0.138 0.496 0.321
Cu 0.862 0.504 0.679
Au 0.340 0.006 0.186
Au 0.660 0.994 0.814
O 0.129 0.264 0.054
O 0.178 0.731 0.592
O 0.497 0.738 0.302
O 0.503 0.262 0.698
O 0.822 0.269 0.408
O 0.871 0.736 0.946

=====

Starting from DFT lattice parameters and positions (PBE), the X-ray diffraction stick pattern of PbAu2Cl6 was calculated for λ = 1.5418 Å (Cu Kα).
No peak broadening, texture or thermal motion is included.

Principal peaks in the range 10° ≤ 2θ ≤ 90°, in order of rising 2θ:
d 6.864, intensity 36
d 4.520, intensity 65
d 4.362, intensity 100
d 3.551, intensity 55
d 3.508, intensity 43
d 3.308, intensity 36

Atomic structure:
a = 9.187 Å, b = 9.187 Å, c = 7.454 Å
α = 107.55°, β = 107.55°, γ = 96.68°
Fractional coordinates of all 18 atoms:
Pb 0.112 0.888 0.750
Pb 0.888 0.112 0.250
Au 0.276 0.451 0.864
Au 0.451 0.276 0.364
Au 0.549 0.724 0.636
Au 0.724 0.549 0.136
Cl 0.081 0.204 0.680
Cl 0.088 0.611 0.833
Cl 0.204 0.081 0.180
Cl 0.322 0.496 0.430
Cl 0.389 0.912 0.667
Cl 0.496 0.322 0.930
Cl 0.504 0.678 0.070
Cl 0.611 0.088 0.333
Cl 0.678 0.504 0.570
Cl 0.796 0.919 0.820
Cl 0.912 0.389 0.167
Cl 0.919 0.796 0.320

=====

Starting from DFT lattice parameters and positions (PBE), the X-ray diffraction stick pattern of AcLaAl was calculated for λ = 1.5418 Å (Cu Kα).
No peak broadening, texture or thermal motion is included.

Principal peaks in the range 10° ≤ 2θ ≤ 90°, in order of rising 2θ:
d 4.176, intensity 80
d 3.231, intensity 40
d 2.995, intensity 64
d 2.957, intensity 100
d 2.840, intensity 76
d 2.566, intensity 38

Atomic structure:
a = 5.133 Å, b = 7.184 Å, c = 10.854 Å
α = 90.00°, β = 90.00°, γ = 90.00°
Fractional coordinates of all 12 atoms:
Ac 0.000 0.000 0.186
Ac 0.000 0.000 0.814
Ac 0.500 0.500 0.314
Ac 0.500 0.500 0.686
La 0.000 0.227 0.500
La 0.000 0.773 0.500
La 0.500 0.273 0.000
La 0.500 0.727 0.000
Al 0.000 0.500 0.127
Al 0.000 0.500 0.873
Al 0.500 0.000 0.373
Al 0.500 0.000 0.627

=====

Starting from DFT lattice parameters and positions (PBE), the X-ray diffraction stick pattern of ErPd4Pb was calculated for λ = 1.5418 Å (Cu Kα).
No peak broadening, texture or thermal motion is included.

Principal peaks in the range 10° ≤ 2θ ≤ 90°, in order of rising 2θ:
d 2.471, intensity 100
d 2.353, intensity 87
d 2.237, intensity 37
d 2.126, intensity 35
d 1.933, intensity 24
d 1.463, intensity 19

Atomic structure:
a = 9.624 Å, b = 3.866 Å, c = 6.434 Å
α = 90.00°, β = 112.43°, γ = 90.00°
Fractional coordinates of all 12 atoms:
Er 0.000 0.000 0.000
Er 0.500 0.500 0.000
Pd 0.166 0.500 0.838
Pd 0.168 0.500 0.326
Pd 0.332 0.000 0.674
Pd 0.334 0.000 0.162
Pd 0.666 0.000 0.838
Pd 0.668 0.000 0.326
Pd 0.832 0.500 0.674
Pd 0.834 0.500 0.162
Pb 0.000 0.000 0.500
Pb 0.500 0.500 0.500